# 1
# TaS2
Simulated powder diffraction line list, Cu Kα (weighted mean of Kα1 and Kα2). Input: a PBE-relaxed structure.
No peak broadening, texture or thermal motion is included.

Crystal structure
abc: 3.3354 22.9720 5.7702
angles: 90.00 90.00 90.00
Space group Fmm2 (No. 42)
Unique sites:
Ta  0.0000  0.0000  0.0000 [4 per cell]
S  0.0000  0.0681  0.3337 [8 per cell]

Main lines, in order of rising 2θ (2θ from 10° to 90°):
d/Å, 2θ (°), I/Imax, (hkl)
5.743, 15.43, 100.0, 0 4 0
2.866, 31.21, 73.2, 1 1 1
2.798, 31.98, 32.1, 0 2 2
2.702, 33.16, 64.7, 1 3 1
2.578, 34.80, 33.2, 0 4 2
2.445, 36.76, 67.1, 1 5 1
2.304, 39.09, 32.0, 0 6 2
2.168, 41.66, 56.9, 1 7 1
1.913, 47.54, 43.9, 1 9 1
1.662, 55.28, 29.1, 1 1 3

=====

# 2
# TaS3
Simulated powder diffraction line list, Cu Kα (weighted mean of Kα1 and Kα2). Input: a PBE-relaxed structure.
No peak broadening, texture or thermal motion is included.

Crystal structure
abc: 9.8272 3.3602 14.8768
angles: 90.00 108.77 90.00
Space group P2_1/m (No. 11)
Unique sites:
Ta  0.0229  0.2500  0.3820 [2 per cell]
Ta  0.3430  0.2500  0.0405 [2 per cell]
Ta  0.3884  0.2500  0.7036 [2 per cell]
S  0.0614  0.7500  0.2666 [2 per cell]
S  0.1245  0.2500  0.5650 [2 per cell]
S  0.1692  0.7500  0.0684 [2 per cell]
S  0.1793  0.7500  0.9301 [2 per cell]
S  0.2239  0.7500  0.4035 [2 per cell]
S  0.2275  0.7500  0.7472 [2 per cell]
S  0.4062  0.7500  0.5854 [2 per cell]
S  0.4136  0.2500  0.2231 [2 per cell]
S  0.4595  0.2500  0.9061 [2 per cell]

Main lines, in order of rising 2θ (2θ from 10° to 90°):
d/Å, 2θ (°), I/Imax, (hkl)
4.695, 18.90, 100.0, 0 0 3
4.626, 19.19, 76.0, 2 0 -2
4.047, 21.96, 63.9, 2 0 1
3.011, 29.67, 53.9, 1 1 -2
2.772, 32.29, 56.2, 2 1 -1
2.722, 32.91, 81.8, 2 1 0
2.576, 34.82, 48.5, 2 1 -3
2.172, 41.57, 47.1, 2 1 -5
1.983, 45.77, 70.8, 4 1 -2
1.925, 47.23, 45.1, 0 1 6

=====

# 3
# Ta3TlS5
Simulated powder diffraction line list, Cu Kα (weighted mean of Kα1 and Kα2). Input: a PBE-relaxed structure.
No peak broadening, texture or thermal motion is included.

Crystal structure
abc: 5.6898 5.6898 7.3275
angles: 90.00 90.00 120.00
Space group P6/mmm (No. 191)
Unique sites:
Ta  0.0000  0.5000  0.0000 [3 per cell]
Tl  0.0000  0.0000  0.5000 [1 per cell]
S  0.0000  0.0000  0.0000 [1 per cell]
S  0.3333  0.6667  0.2586 [4 per cell]

Main lines, in order of rising 2θ (2θ from 10° to 90°):
d/Å, 2θ (°), I/Imax, (hkl)
7.328, 12.08, 73.8, 0 0 1
4.089, 21.73, 100.0, 1 0 1
3.664, 24.29, 44.3, 0 0 2
2.652, 33.80, 36.0, 1 1 1
2.464, 36.47, 58.4, 2 0 0
2.335, 38.55, 28.1, 2 0 1
2.188, 41.25, 21.5, 1 0 3
2.044, 44.31, 95.0, 2 0 2
1.805, 50.57, 22.4, 2 1 1
1.470, 63.26, 24.2, 2 0 4

=====

Question: Number 2 is which compound?
Answer: TaS3